The following is a computed X-ray powder pattern of Ho2Zn5Ru5. It was derived from a cell relaxed with PBE, using Cu Kα (weighted mean of Kα1 and Kα2).
Intensities are scaled so that the largest is 100.

Principal peaks in the range 2θ from 10° to 80°, in order of rising 2θ:
2θ/deg, I/Imax
28.68, 35
29.01, 50
33.78, 25
38.87, 27
39.87, 49
40.19, 100
40.93, 55
43.05, 48
60.11, 29
65.83, 23

Cell and atoms:
a = 4.203 Å, b = 5.180 Å, c = 9.268 Å
α = 90.00°, β = 90.00°, γ = 90.00°
Fractional positions:
Ho (0.000, 0.000, 0.000)
Ho (0.000, 0.500, 0.500)
Zn (0.000, 0.000, 0.331)
Zn (0.000, 0.000, 0.669)
Zn (0.000, 0.500, 0.166)
Zn (0.000, 0.500, 0.834)
Zn (0.500, 0.000, 0.500)
Ru (0.500, 0.246, 0.250)
Ru (0.500, 0.246, 0.750)
Ru (0.500, 0.500, 0.000)
Ru (0.500, 0.754, 0.250)
Ru (0.500, 0.754, 0.750)

=====

The following is a computed X-ray powder pattern of Ho4ZrRu5. It was derived from a cell relaxed with PBE, using Cu Kα (weighted mean of Kα1 and Kα2).
Intensities are scaled so that the largest is 100.

Principal peaks in the range 2θ from 10° to 80°, in order of rising 2θ:
2θ/deg, I/Imax
26.41, 2
26.57, 4
37.82, 100
37.93, 50
46.82, 2
54.37, 8
54.73, 17
61.81, 2
68.21, 17
68.44, 34

Cell and atoms:
a = 3.354 Å, b = 3.354 Å, c = 16.874 Å
α = 90.00°, β = 90.00°, γ = 90.00°
Fractional positions:
Ho (0.000, 0.000, 0.101)
Ho (0.000, 0.000, 0.301)
Ho (0.000, 0.000, 0.699)
Ho (0.000, 0.000, 0.899)
Zr (0.000, 0.000, 0.500)
Ru (0.500, 0.500, 0.000)
Ru (0.500, 0.500, 0.203)
Ru (0.500, 0.500, 0.408)
Ru (0.500, 0.500, 0.592)
Ru (0.500, 0.500, 0.797)

=====

The following is a computed X-ray powder pattern of HoZr3Ru4. It was derived from a cell relaxed with PBE, using Cu Kα (weighted mean of Kα1 and Kα2).
Intensities are scaled so that the largest is 100.

Principal peaks in the range 2θ from 10° to 80°, in order of rising 2θ:
2θ/deg, I/Imax
11.56, 2
22.35, 2
23.35, 2
29.45, 3
35.25, 2
38.48, 100
38.62, 100
55.65, 34
69.52, 16
69.82, 50

Cell and atoms:
a = 8.113 Å, b = 8.113 Å, c = 8.113 Å
α = 33.40°, β = 33.40°, γ = 33.40°
Fractional positions:
Ho (0.000, 0.000, 0.000)
Zr (0.249, 0.249, 0.249)
Zr (0.500, 0.500, 0.500)
Zr (0.751, 0.751, 0.751)
Ru (0.128, 0.128, 0.128)
Ru (0.378, 0.378, 0.378)
Ru (0.622, 0.622, 0.622)
Ru (0.872, 0.872, 0.872)

=====

The following is a computed X-ray powder pattern of HoZr2Ru. It was derived from a cell relaxed with PBE, using Cu Kα (weighted mean of Kα1 and Kα2).
Intensities are scaled so that the largest is 100.

Principal peaks in the range 2θ from 10° to 80°, in order of rising 2θ:
2θ/deg, I/Imax
29.20, 13
33.72, 7
35.23, 100
38.44, 46
45.50, 7
52.04, 8
53.66, 7
55.49, 16
61.04, 12
67.45, 29

Cell and atoms:
a = 3.312 Å, b = 3.312 Å, c = 7.975 Å
α = 90.00°, β = 90.00°, γ = 90.00°
Fractional positions:
Ho (0.000, 0.000, 0.000)
Zr (0.500, 0.500, 0.300)
Zr (0.500, 0.500, 0.700)
Ru (0.000, 0.000, 0.500)